Entry 1:
# Rb6In3Br14
Calculated X-ray powder pattern, Cu Kα, 1.54184 Å. Input: a structure optimized by DFT (GGA-PBE).

Atomic structure:
```
Rb6In3Br14
1.0
12.6989 0.0000 0.0000
-6.3494 10.9976 0.0000
0.0000 0.0000 6.7883
Rb In Br
6 3 14
Direct
0.0097 0.5583 0.0000 Rb
0.3240 0.1066 0.5319 Rb
0.4417 0.4514 0.0000 Rb
0.5486 0.9903 0.0000 Rb
0.7826 0.6760 0.5319 Rb
0.8934 0.2174 0.5319 Rb
0.0000 0.0000 0.9419 In
0.3333 0.6667 0.4188 In
0.6667 0.3333 0.2723 In
0.0000 0.0000 0.3152 Br
0.0772 0.8635 0.8035 Br
0.1365 0.2137 0.8035 Br
0.1976 0.4518 0.2864 Br
0.2542 0.8024 0.2864 Br
0.3333 0.6667 0.7940 Br
0.4355 0.1812 0.0453 Br
0.5133 0.4111 0.4992 Br
0.5482 0.7458 0.2864 Br
0.5889 0.1022 0.4992 Br
0.7457 0.5645 0.0453 Br
0.7863 0.9228 0.8035 Br
0.8188 0.2543 0.0453 Br
0.8978 0.4867 0.4992 Br
```

Top 6 peaks for 2θ from 5° to 70°, low angle first:
2θ/deg	Rel. int.
25.12	100
27.66	92
28.11	66
29.28	90
30.96	85
45.65	89

---

Entry 2:
# CdIn2Sn6
Calculated X-ray powder pattern, Cu Kα, 1.54184 Å. Input: a structure optimized by DFT (GGA-PBE).

Atomic structure:
```
CdIn2Sn6
1.0
9.0223 0.0000 0.0000
-4.5112 7.8136 0.0000
0.0000 0.0000 3.8183
Cd In Sn
1 2 6
Direct
0.0000 0.0000 0.0000 Cd
0.3333 0.6667 0.1369 In
0.6667 0.3333 0.8631 In
0.1783 0.3565 0.6428 Sn
0.1783 0.8217 0.6428 Sn
0.3565 0.1783 0.3572 Sn
0.6435 0.8217 0.6428 Sn
0.8217 0.1783 0.3572 Sn
0.8217 0.6435 0.3572 Sn
```

Top 6 peaks for 2θ from 5° to 70°, low angle first:
2θ/deg	Rel. int.
22.76	34
30.68	43
32.80	100
39.97	66
41.99	22
52.63	24

---

Entry 3:
# ZrAsPb
Calculated X-ray powder pattern, Cu Kα, 1.54184 Å. Input: a structure optimized by DFT (GGA-PBE).

Atomic structure:
```
ZrAsPb
1.0
-1.8141 1.8141 5.3883
1.8141 -1.8141 5.3883
1.8141 1.8141 -5.3883
Zr As Pb
1 1 1
Direct
0.0000 0.0000 0.0000 Zr
0.4141 0.4141 0.0000 As
0.6989 0.6989 0.0000 Pb
```

Top 6 peaks for 2θ from 5° to 70°, low angle first:
2θ/deg	Rel. int.
25.91	50
34.98	66
35.16	100
49.03	29
50.30	24
62.85	37

---

Entry 4:
# Na4TlSb5
Calculated X-ray powder pattern, Cu Kα, 1.54184 Å. Input: a structure optimized by DFT (GGA-PBE).

Atomic structure:
```
Na4TlSb5
1.0
3.2918 0.0000 0.0000
0.0000 3.2918 0.0000
0.0000 0.0000 24.9439
Na Tl Sb
4 1 5
Direct
0.0000 0.0000 0.0968 Na
0.0000 0.0000 0.2903 Na
0.0000 0.0000 0.7097 Na
0.0000 0.0000 0.9032 Na
0.0000 0.0000 0.5000 Tl
0.5000 0.5000 0.0000 Sb
0.5000 0.5000 0.1935 Sb
0.5000 0.5000 0.3880 Sb
0.5000 0.5000 0.6120 Sb
0.5000 0.5000 0.8065 Sb
```

Top 6 peaks for 2θ from 5° to 70°, low angle first:
2θ/deg	Rel. int.
7.09	22
32.59	100
36.01	16
38.68	33
53.87	20
66.19	25